(1)
Structure and simulated PXRD pattern of KHgF (the PBE geometry in Alexandria; Cu Kα, 1.54184 Å).

Largest 10 diffraction maxima, by intensity, 10 to 90 degrees two-theta:
- 28.4 deg, 3.147 Å, I 100
- 33.8 deg, 2.649 Å, I 48
- 33.3 deg, 2.691 Å, I 46
- 25.0 deg, 3.565 Å, I 32
- 57.2 deg, 1.610 Å, I 29
- 46.4 deg, 1.956 Å, I 28
- 30.8 deg, 2.900 Å, I 22
- 34.7 deg, 2.583 Å, I 18
- 60.2 deg, 1.537 Å, I 17
- 48.6 deg, 1.873 Å, I 17

Crystal structure
```
KHgF
1.0
11.599 0.000 0.000
0.000 5.299 0.000
0.000 0.000 5.299
K Hg F
4 4 4
Cartesian
1.375 1.325 0.000 K
1.375 3.974 2.650 K
10.225 1.325 2.650 K
10.225 3.974 0.000 K
4.641 1.325 2.689 Hg
4.641 3.974 0.040 Hg
6.958 1.325 0.040 Hg
6.958 3.974 2.689 Hg
1.314 1.325 2.648 F
1.314 3.974 5.298 F
10.285 1.325 5.298 F
10.285 3.974 2.648 F
```

(2)
Structure and simulated PXRD pattern of KLi3Hg4F12 (the PBE geometry in Alexandria; Cu Kα, 1.54184 Å).

Largest 10 diffraction maxima, by intensity, 10 to 90 degrees two-theta:
- 21.0 deg, 4.228 Å, I 100
- 29.9 deg, 2.990 Å, I 99
- 48.1 deg, 1.891 Å, I 55
- 53.1 deg, 1.726 Å, I 53
- 36.8 deg, 2.441 Å, I 29
- 86.0 deg, 1.130 Å, I 23
- 42.8 deg, 2.114 Å, I 22
- 70.4 deg, 1.337 Å, I 20
- 66.3 deg, 1.409 Å, I 19
- 74.4 deg, 1.275 Å, I 15

Crystal structure
```
KLi3Hg4F12
1.0
-4.228 4.228 4.228
4.228 -4.228 4.228
4.228 4.228 -4.228
K Li Hg F
1 3 4 12
Cartesian
0.000 0.000 0.000 K
4.228 0.000 0.000 Li
0.000 4.228 0.000 Li
0.000 0.000 4.228 Li
2.114 2.114 -2.114 Hg
2.114 -2.114 2.114 Hg
-2.114 2.114 2.114 Hg
2.114 2.114 2.114 Hg
2.750 1.352 0.000 F
5.706 1.352 0.000 F
4.228 -1.478 2.876 F
2.876 4.228 -1.478 F
1.352 0.000 2.750 F
0.000 2.750 1.352 F
4.228 1.478 2.876 F
2.876 4.228 1.478 F
1.352 0.000 5.706 F
0.000 5.706 1.352 F
-1.478 2.876 4.228 F
1.478 2.876 4.228 F
```

(3)
Structure and simulated PXRD pattern of KLi2HgF8 (the PBE geometry in Alexandria; Cu Kα, 1.54184 Å).

Largest 10 diffraction maxima, by intensity, 10 to 90 degrees two-theta:
- 11.3 deg, 7.812 Å, I 100
- 26.1 deg, 3.420 Å, I 43
- 18.9 deg, 4.684 Å, I 43
- 18.2 deg, 4.880 Å, I 43
- 22.8 deg, 3.906 Å, I 34
- 36.4 deg, 2.466 Å, I 32
- 26.7 deg, 3.340 Å, I 26
- 34.3 deg, 2.617 Å, I 24
- 21.7 deg, 4.097 Å, I 23
- 21.2 deg, 4.183 Å, I 22

Crystal structure
```
KLi2HgF8
1.0
4.712 0.000 0.000
0.128 4.882 0.000
0.838 0.180 7.812
K Li Hg F
1 2 1 8
Cartesian
0.000 0.000 0.000 K
2.880 2.510 5.427 Li
2.797 2.552 2.386 Li
0.419 0.090 3.906 Hg
1.644 4.049 5.473 F
1.554 4.069 2.239 F
1.796 1.707 3.915 F
2.414 2.422 7.342 F
3.264 2.640 0.471 F
3.882 3.354 3.897 F
4.123 0.993 5.574 F
4.033 1.013 2.339 F
```

(4)
Structure and simulated PXRD pattern of KMgHgF5 (the PBE geometry in Alexandria; Cu Kα, 1.54184 Å).

Largest 10 diffraction maxima, by intensity, 10 to 90 degrees two-theta:
- 18.0 deg, 4.917 Å, I 100
- 29.4 deg, 3.040 Å, I 97
- 21.0 deg, 4.230 Å, I 82
- 27.4 deg, 3.252 Å, I 77
- 22.0 deg, 4.038 Å, I 77
- 36.1 deg, 2.489 Å, I 67
- 40.5 deg, 2.227 Å, I 64
- 26.2 deg, 3.404 Å, I 49
- 32.3 deg, 2.768 Å, I 47
- 49.7 deg, 1.834 Å, I 45

Crystal structure
```
KMgHgF5
1.0
3.349 -5.159 0.000
3.349 5.159 0.000
-1.826 0.000 7.391
K Mg Hg F
2 2 2 10
Cartesian
1.980 3.333 5.543 K
2.893 -3.333 1.848 K
3.349 0.000 0.000 Mg
2.436 0.000 3.696 Mg
2.893 3.452 1.848 Hg
1.980 -3.452 5.543 Hg
-0.453 0.526 7.156 F
1.960 1.890 3.143 F
0.460 -0.526 3.460 F
3.825 1.890 0.553 F
1.980 0.579 5.543 F
2.893 -0.579 1.848 F
1.047 -1.890 6.838 F
4.413 0.526 3.931 F
2.912 -1.890 4.248 F
5.326 -0.526 0.235 F
```